Computed powder diffractogram of LiB2O3 for λ = 1.5418 Å (Cu Kα), from a crystal structure in the Materials Project, relaxed with GGA-PBE.

abc: 10.318 10.318 10.318
angles: 109.68 109.68 109.05
Sites, in units of the cell vectors:
Li1 0.015 0.514 0.029
Li2 0.236 0.235 0.471
Li3 0.264 0.735 0.999
Li4 0.485 0.986 0.971
Li5 0.515 0.486 0.501
Li6 0.736 0.265 0.001
Li7 0.764 0.765 0.529
Li8 0.985 0.014 0.499
B1 0.036 0.565 0.700
B2 0.047 0.326 0.546
B3 0.076 0.030 0.779
B4 0.087 0.286 0.971
B5 0.251 0.297 0.221
B6 0.280 0.826 0.279
B7 0.315 0.116 0.029
B8 0.366 0.065 0.529
B9 0.536 0.837 0.471
B10 0.547 0.001 0.721
B11 0.576 0.797 0.046
B12 0.587 0.616 0.800
B13 0.751 0.530 0.954
B14 0.780 0.501 0.454
B15 0.815 0.786 0.200
B16 0.866 0.337 0.300
O1 0.074 0.173 0.849
O2 0.074 0.449 0.685
O3 0.095 0.223 0.550
O4 0.139 0.324 0.125
O5 0.173 0.723 0.128
O6 0.199 0.014 0.875
O7 0.264 0.949 0.375
O8 0.295 0.345 0.372
O9 0.324 0.225 0.151
O10 0.423 0.824 0.349
O11 0.473 0.845 0.050
O12 0.475 0.074 0.651
O13 0.574 0.725 0.901
O14 0.574 0.889 0.625
O15 0.595 0.045 0.872
O16 0.639 0.514 0.815
O17 0.673 0.545 0.450
O18 0.699 0.824 0.185
O19 0.764 0.389 0.315
O20 0.795 0.423 0.950
O21 0.824 0.673 0.099
O22 0.923 0.574 0.599
O23 0.973 0.923 0.628
O24 0.975 0.324 0.401

Main lines, sorted by position (10° ≤ 2θ ≤ 80°):
2θ = 18.20°, I 100
2θ = 21.08°, I 6
2θ = 28.01°, I 14
2θ = 29.84°, I 14
2θ = 33.72°, I 8
2θ = 38.48°, I 5

Computed powder diffractogram of InCuTe2 for λ = 1.5418 Å (Cu Kα), from a crystal structure in the Materials Project, relaxed with GGA-PBE.

abc: 4.199 4.199 5.871
angles: 90.00 90.00 90.00
Sites, in units of the cell vectors:
In1 0.000 0.000 0.000
Cu1 0.500 0.500 0.500
Te1 0.000 0.000 0.500
Te2 0.500 0.500 0.000

Main lines, sorted by position (10° ≤ 2θ ≤ 80°):
2θ = 30.10°, I 100
2θ = 30.45°, I 48
2θ = 43.08°, I 37
2θ = 43.35°, I 73
2θ = 53.67°, I 38
2θ = 79.17°, I 24

Computed powder diffractogram of Rb3HoCl6 for λ = 1.5418 Å (Cu Kα), from a crystal structure in the Materials Project, relaxed with GGA-PBE.

abc: 13.691 13.691 12.978
angles: 99.09 99.09 34.05
Sites, in units of the cell vectors:
Rb1 0.034 0.658 0.856
Rb2 0.151 0.526 0.201
Rb3 0.197 0.704 0.567
Rb4 0.296 0.803 0.933
Rb5 0.342 0.966 0.644
Rb6 0.474 0.849 0.299
Rb7 0.526 0.151 0.701
Rb8 0.658 0.034 0.356
Rb9 0.704 0.197 0.067
Rb10 0.803 0.296 0.433
Rb11 0.849 0.474 0.799
Rb12 0.966 0.342 0.144
Ho1 0.000 0.500 0.500
Ho2 0.283 0.717 0.250
Ho3 0.500 0.000 0.000
Ho4 0.717 0.283 0.750
Cl1 0.004 0.113 0.680
Cl2 0.113 0.004 0.180
Cl3 0.122 0.223 0.419
Cl4 0.139 0.360 0.686
Cl5 0.217 0.667 0.066
Cl6 0.223 0.122 0.919
Cl7 0.282 0.364 0.465
Cl8 0.333 0.783 0.434
Cl9 0.360 0.139 0.186
Cl10 0.364 0.282 0.965
Cl11 0.414 0.468 0.804
Cl12 0.468 0.414 0.304
Cl13 0.532 0.586 0.696
Cl14 0.586 0.532 0.196
Cl15 0.636 0.718 0.035
Cl16 0.640 0.861 0.814
Cl17 0.667 0.217 0.566
Cl18 0.718 0.636 0.535
Cl19 0.777 0.878 0.081
Cl20 0.783 0.333 0.934
Cl21 0.861 0.640 0.314
Cl22 0.878 0.777 0.581
Cl23 0.887 0.996 0.820
Cl24 0.996 0.887 0.320

Main lines, sorted by position (10° ≤ 2θ ≤ 80°):
2θ = 13.75°, I 57
2θ = 15.89°, I 33
2θ = 22.18°, I 32
2θ = 22.52°, I 73
2θ = 23.37°, I 100
2θ = 32.10°, I 84

Computed powder diffractogram of AsClF8 for λ = 1.5418 Å (Cu Kα), from a crystal structure in the Materials Project, relaxed with GGA-PBE.

abc: 5.751 5.751 10.492
angles: 105.36 105.36 86.81
Sites, in units of the cell vectors:
As1 0.000 0.000 0.000
As2 0.000 0.000 0.500
Cl1 0.334 0.666 0.750
Cl2 0.666 0.334 0.250
F1 0.038 0.757 0.853
F2 0.115 0.766 0.390
F3 0.181 0.211 0.475
F4 0.211 0.181 0.975
F5 0.234 0.885 0.110
F6 0.243 0.962 0.647
F7 0.404 0.461 0.833
F8 0.461 0.404 0.333
F9 0.539 0.596 0.667
F10 0.596 0.539 0.167
F11 0.757 0.038 0.353
F12 0.766 0.115 0.890
F13 0.789 0.819 0.025
F14 0.819 0.789 0.525
F15 0.885 0.234 0.610
F16 0.962 0.243 0.147

Main lines, sorted by position (10° ≤ 2θ ≤ 80°):
2θ = 15.98°, I 67
2θ = 20.88°, I 100
2θ = 22.50°, I 32
2θ = 22.86°, I 63
2θ = 27.29°, I 58
2θ = 29.06°, I 37

What did the first record say?
Computed powder diffractogram of LiB2O3 for λ = 1.5418 Å (Cu Kα), from a crystal structure in the Materials Project, relaxed with GGA-PBE.

abc: 10.318 10.318 10.318
angles: 109.68 109.68 109.05
Sites, in units of the cell vectors:
Li1 0.015 0.514 0.029
Li2 0.236 0.235 0.471
Li3 0.264 0.735 0.999
Li4 0.485 0.986 0.971
Li5 0.515 0.486 0.501
Li6 0.736 0.265 0.001
Li7 0.764 0.765 0.529
Li8 0.985 0.014 0.499
B1 0.036 0.565 0.700
B2 0.047 0.326 0.546
B3 0.076 0.030 0.779
B4 0.087 0.286 0.971
B5 0.251 0.297 0.221
B6 0.280 0.826 0.279
B7 0.315 0.116 0.029
B8 0.366 0.065 0.529
B9 0.536 0.837 0.471
B10 0.547 0.001 0.721
B11 0.576 0.797 0.046
B12 0.587 0.616 0.800
B13 0.751 0.530 0.954
B14 0.780 0.501 0.454
B15 0.815 0.786 0.200
B16 0.866 0.337 0.300
O1 0.074 0.173 0.849
O2 0.074 0.449 0.685
O3 0.095 0.223 0.550
O4 0.139 0.324 0.125
O5 0.173 0.723 0.128
O6 0.199 0.014 0.875
O7 0.264 0.949 0.375
O8 0.295 0.345 0.372
O9 0.324 0.225 0.151
O10 0.423 0.824 0.349
O11 0.473 0.845 0.050
O12 0.475 0.074 0.651
O13 0.574 0.725 0.901
O14 0.574 0.889 0.625
O15 0.595 0.045 0.872
O16 0.639 0.514 0.815
O17 0.673 0.545 0.450
O18 0.699 0.824 0.185
O19 0.764 0.389 0.315
O20 0.795 0.423 0.950
O21 0.824 0.673 0.099
O22 0.923 0.574 0.599
O23 0.973 0.923 0.628
O24 0.975 0.324 0.401

Main lines, sorted by position (10° ≤ 2θ ≤ 80°):
2θ = 18.20°, I 100
2θ = 21.08°, I 6
2θ = 28.01°, I 14
2θ = 29.84°, I 14
2θ = 33.72°, I 8
2θ = 38.48°, I 5